For CaLa2BeO5, a structure optimized by DFT (GGA-PBE) gives the calculated X-ray diffraction stick pattern in this record (Cu Kα, 1.54184 Å).
Lines closer than 0.1° are merged.

Principal peaks in the range 2θ = 10–90°, by angle:
d_spacing, Rel. int.
4.373, 52
4.026, 33
3.441, 33
3.134, 33
3.033, 99
2.910, 69
2.896, 100
2.879, 63
2.377, 42
2.268, 36
2.187, 30
1.937, 30

a = 9.657 Å, b = 6.627 Å, c = 7.294 Å
α = 90.00°, β = 90.00°, γ = 90.00°
Positions (direct):
Ca: 0.174 0.077 0.000
Ca: 0.326 0.577 0.500
Ca: 0.674 0.423 0.000
Ca: 0.826 0.923 0.500
La: 0.024 0.597 0.768
La: 0.172 0.074 0.549
La: 0.328 0.574 0.049
La: 0.476 0.097 0.268
La: 0.524 0.903 0.768
La: 0.672 0.426 0.549
La: 0.828 0.926 0.049
La: 0.976 0.403 0.268
Be: 0.105 0.806 0.271
Be: 0.395 0.306 0.771
Be: 0.605 0.694 0.271
Be: 0.895 0.194 0.771
O: 0.014 0.017 0.272
O: 0.072 0.689 0.080
O: 0.073 0.692 0.464
O: 0.225 0.359 0.772
O: 0.227 0.338 0.271
O: 0.273 0.838 0.771
O: 0.275 0.859 0.272
O: 0.427 0.192 0.964
O: 0.428 0.189 0.580
O: 0.486 0.517 0.772
O: 0.514 0.483 0.272
O: 0.572 0.811 0.080
O: 0.573 0.808 0.464
O: 0.725 0.141 0.772
O: 0.727 0.162 0.271
O: 0.773 0.662 0.771
O: 0.775 0.641 0.272
O: 0.927 0.308 0.964
O: 0.928 0.311 0.580
O: 0.986 0.983 0.772